# Sr3Fe2PdO9
Calculated powder XRD pattern, copper Kα. Input: a GGA+U-relaxed structure.

Top 10 peaks for 10 to 90 degrees two-theta, in order of rising 2θ:
- d 2.798, 2θ 32.0, I = 100, hkl 1 1 0
- d 2.283, 2θ 39.5, I = 5, hkl 0 2 1
- d 1.979, 2θ 45.9, I = 36, hkl 2 0 2
- d 1.619, 2θ 56.9, I = 10, hkl 1 0 4
- d 1.614, 2θ 57.1, I = 29, hkl 3 0 0
- d 1.401, 2θ 66.8, I = 11, hkl 0 2 4
- d 1.397, 2θ 67.0, I = 11, hkl 2 2 0
- d 1.252, 2θ 76.0, I = 8, hkl 2 1 4
- d 1.250, 2θ 76.1, I = 8, hkl 3 1 2
- d 1.141, 2θ 85.0, I = 5, hkl 0 4 2

Crystal structure
a b c (Å): 5.5885 5.5885 6.8738
angles (deg): 90.00 90.00 120.00
Space group P-3m1 (No. 164)
Asymmetric unit:
Sr1 0.0000 0.0000 0.0000 x1
Sr2 0.3333 0.6667 0.6653 x2
Fe1 0.3333 0.6667 0.1615 x2
Pd1 0.0000 0.0000 0.5000 x1
O1 0.0000 0.5000 0.0000 x3
O2 0.1680 0.3361 0.3307 x6